(1)
The following is a calculated PXRD pattern of Mg2Zn6Ir. It was derived from a crystal structure in Alexandria, relaxed with GGA-PBE, using copper Kα.

Cell and atoms:
```
data_Mg2Zn6Ir
_chemical_formula_sum 'Mg4 Zn12 Ir2'
_cell_length_a 8.4405
_cell_length_b 8.4405
_cell_length_c 3.8806
_cell_angle_alpha 90.00
_cell_angle_beta 90.00
_cell_angle_gamma 90.00
_symmetry_space_group_name_H-M 'P 1'
_symmetry_Int_Tables_number 1
loop_
_symmetry_equiv_pos_as_xyz
'x,y,z'
loop_
_atom_site_label
_atom_site_type_symbol
_atom_site_fract_x
_atom_site_fract_y
_atom_site_fract_z
Mg1 Mg 0.1622 0.1622 0.0000
Mg2 Mg 0.3378 0.6622 0.5000
Mg3 Mg 0.6622 0.3378 0.5000
Mg4 Mg 0.8378 0.8378 0.0000
Zn1 Zn 0.0032 0.3360 0.5000
Zn2 Zn 0.1622 0.8378 0.0000
Zn3 Zn 0.1640 0.5032 0.0000
Zn4 Zn 0.3360 0.0032 0.5000
Zn5 Zn 0.3378 0.3378 0.5000
Zn6 Zn 0.4968 0.8360 0.0000
Zn7 Zn 0.5032 0.1640 0.0000
Zn8 Zn 0.6622 0.6622 0.5000
Zn9 Zn 0.6640 0.9968 0.5000
Zn10 Zn 0.8360 0.4968 0.0000
Zn11 Zn 0.8378 0.1622 0.0000
Zn12 Zn 0.9968 0.6640 0.5000
Ir1 Ir 0.0000 0.0000 0.5000
Ir2 Ir 0.5000 0.5000 0.0000
```

Top 10 peaks for 2θ = 10–80°, in order of falling intensity:
2θ/deg	I (rel.)
39.6	100
45.6	33
67.4	20
25.3	17
21.1	17
46.8	15
14.8	11
66.5	11
45.2	10
33.6	9

(2)
The following is a calculated PXRD pattern of Zr3Be2Ni5. It was derived from a crystal structure in Alexandria, relaxed with GGA-PBE, using copper Kα.

Cell and atoms:
```
data_Zr3Be2Ni5
_chemical_formula_sum 'Zr6 Be4 Ni10'
_cell_length_a 8.9411
_cell_length_b 8.9411
_cell_length_c 3.3879
_cell_angle_alpha 90.00
_cell_angle_beta 90.00
_cell_angle_gamma 90.00
_symmetry_space_group_name_H-M 'P 1'
_symmetry_Int_Tables_number 1
loop_
_symmetry_equiv_pos_as_xyz
'x,y,z'
loop_
_atom_site_label
_atom_site_type_symbol
_atom_site_fract_x
_atom_site_fract_y
_atom_site_fract_z
Zr1 Zr 0.0000 0.0000 0.0000
Zr2 Zr 0.1774 0.3226 0.0000
Zr3 Zr 0.3226 0.8226 0.0000
Zr4 Zr 0.5000 0.5000 0.0000
Zr5 Zr 0.6774 0.1774 0.0000
Zr6 Zr 0.8226 0.6774 0.0000
Be1 Be 0.1151 0.6151 0.0000
Be2 Be 0.3849 0.1151 0.0000
Be3 Be 0.6151 0.8849 0.0000
Be4 Be 0.8849 0.3849 0.0000
Ni1 Ni 0.0000 0.5000 0.5000
Ni2 Ni 0.0672 0.7772 0.5000
Ni3 Ni 0.2228 0.0672 0.5000
Ni4 Ni 0.2772 0.5672 0.5000
Ni5 Ni 0.4328 0.2772 0.5000
Ni6 Ni 0.5000 0.0000 0.5000
Ni7 Ni 0.5672 0.7228 0.5000
Ni8 Ni 0.7228 0.4328 0.5000
Ni9 Ni 0.7772 0.9328 0.5000
Ni10 Ni 0.9328 0.2228 0.5000
```

Top 10 peaks for 2θ = 10–80°, in order of falling intensity:
2θ/deg	I (rel.)
41.6	100
34.7	49
45.3	35
39.0	29
73.3	18
54.1	15
70.5	15
68.8	10
67.0	10
40.3	7

(3)
The following is a calculated PXRD pattern of Mg4Hg5. It was derived from a crystal structure in Alexandria, relaxed with GGA-PBE, using copper Kα.

Cell and atoms:
```
data_Mg4Hg5
_chemical_formula_sum 'Mg4 Hg5'
_cell_length_a 7.9640
_cell_length_b 7.9640
_cell_length_c 3.4087
_cell_angle_alpha 101.56
_cell_angle_beta 101.56
_cell_angle_gamma 73.68
_symmetry_space_group_name_H-M 'P 1'
_symmetry_Int_Tables_number 1
loop_
_symmetry_equiv_pos_as_xyz
'x,y,z'
loop_
_atom_site_label
_atom_site_type_symbol
_atom_site_fract_x
_atom_site_fract_y
_atom_site_fract_z
Mg1 Mg 0.1513 0.1513 0.1491
Mg2 Mg 0.2146 0.4805 0.8488
Mg3 Mg 0.5195 0.7854 0.1512
Mg4 Mg 0.8487 0.8487 0.8509
Hg1 Hg 0.1841 0.8159 0.5000
Hg2 Hg 0.4760 0.1095 0.7878
Hg3 Hg 0.5311 0.4689 0.5000
Hg4 Hg 0.8354 0.1646 0.5000
Hg5 Hg 0.8905 0.5240 0.2122
```

Top 10 peaks for 2θ = 10–80°, in order of falling intensity:
2θ/deg	I (rel.)
38.7	100
35.7	100
29.0	78
33.9	58
34.5	58
18.6	40
23.6	33
48.7	23
60.0	22
14.4	22

(4)
The following is a calculated PXRD pattern of Ho2ScPb3. It was derived from a crystal structure in Alexandria, relaxed with GGA-PBE, using copper Kα.

Cell and atoms:
```
data_Ho2ScPb3
_chemical_formula_sum 'Ho4 Sc2 Pb6'
_cell_length_a 8.8822
_cell_length_b 8.8822
_cell_length_c 6.2879
_cell_angle_alpha 100.14
_cell_angle_beta 100.14
_cell_angle_gamma 41.57
_symmetry_space_group_name_H-M 'P 1'
_symmetry_Int_Tables_number 1
loop_
_symmetry_equiv_pos_as_xyz
'x,y,z'
loop_
_atom_site_label
_atom_site_type_symbol
_atom_site_fract_x
_atom_site_fract_y
_atom_site_fract_z
Ho1 Ho 0.0392 0.2944 0.0911
Ho2 Ho 0.2944 0.0392 0.5911
Ho3 Ho 0.7056 0.9608 0.4089
Ho4 Ho 0.9608 0.7056 0.9089
Sc1 Sc 0.3806 0.6194 0.7500
Sc2 Sc 0.6194 0.3806 0.2500
Pb1 Pb 0.1219 0.8781 0.2500
Pb2 Pb 0.2120 0.4635 0.4201
Pb3 Pb 0.4635 0.2120 0.9201
Pb4 Pb 0.5365 0.7880 0.0799
Pb5 Pb 0.7880 0.5365 0.5799
Pb6 Pb 0.8781 0.1219 0.7500
```

Top 10 peaks for 2θ = 10–80°, in order of falling intensity:
2θ/deg	I (rel.)
32.9	100
40.5	28
53.2	26
32.9	25
58.7	19
68.8	18
69.0	18
21.6	8
58.6	5
58.8	5